# 1
This entry pairs a crystal structure of Na2AsPCO7 with its simulated powder diffractogram. Radiation: Cu Kα. Structure: a structure optimized by DFT (GGA-PBE).

Largest 10 diffraction maxima, by angle, 2θ = 10–80°:
| d [Å] | Position (°2θ) | I_rel | h k l |
| --- | --- | --- | --- |
| 5.391 | 16.44 | 61 | 0 1 1 |
| 4.872 | 18.21 | 49 | 1 0 -1 |
| 4.186 | 21.23 | 31 | 1 1 0 |
| 3.933 | 22.61 | 36 | 1 1 -1 |
| 3.692 | 24.11 | 29 | 1 0 -2 |
| 3.329 | 26.78 | 100 | 0 2 0 |
| 3.229 | 27.62 | 25 | 1 1 -2 |
| 2.750 | 32.56 | 47 | 1 2 -1 |
| 2.693 | 33.27 | 40 | 2 0 0 |
| 1.892 | 48.10 | 30 | 0 2 4 |

Crystal structure
```
24
Lattice="5.410 0.000 0.000 0.000 6.662 0.000 -0.972 0.000 9.193" Properties=species:S:1:pos:R:3 pbc="T T T"
Na 1.126 0.066 2.106
Na 1.126 3.266 2.106
Na 3.313 3.397 7.087
Na 3.313 6.597 7.087
As 0.321 1.666 5.850
As 4.117 4.997 3.343
P 0.821 4.997 5.526
P 3.618 1.666 3.666
C 0.695 1.666 8.430
C 3.743 4.997 0.763
O -0.404 1.666 7.585
O 0.092 3.758 6.123
O 0.092 6.235 6.123
O 0.541 4.997 3.926
O 1.440 1.666 0.467
O 2.117 1.666 3.475
O 1.824 1.666 7.821
O 2.614 4.997 1.371
O 2.321 4.997 5.717
O 2.998 4.997 8.726
O 3.897 1.666 5.267
O 4.347 0.427 3.069
O 4.347 2.904 3.069
O 4.842 4.997 1.608
```

---

# 2
This entry pairs a crystal structure of Na2SnAsCO7 with its simulated powder diffractogram. Radiation: Cu Kα. Structure: a structure optimized by DFT (GGA-PBE).

Largest 10 diffraction maxima, by angle, 2θ = 10–80°:
| d [Å] | Position (°2θ) | I_rel | h k l |
| --- | --- | --- | --- |
| 5.651 | 15.68 | 38 | 0 1 1 |
| 4.708 | 18.85 | 29 | 1 0 -1 |
| 4.652 | 19.08 | 27 | 1 0 1 |
| 3.557 | 25.04 | 100 | 0 2 0 |
| 3.503 | 25.43 | 67 | 1 0 2 |
| 3.325 | 26.82 | 32 | 0 2 1 |
| 2.840 | 31.50 | 29 | 1 2 -1 |
| 2.827 | 31.65 | 47 | 1 2 1 |
| 2.708 | 33.07 | 47 | 2 0 0 |
| 1.780 | 51.34 | 29 | 0 4 0 |

Crystal structure
```
24
Lattice="5.419 0.000 0.000 0.000 7.121 0.000 -0.127 0.000 9.288" Properties=species:S:1:pos:R:3 pbc="T T T"
Na 1.228 7.120 1.982
Na 1.228 3.562 1.982
Na 4.064 0.001 7.307
Na 4.064 3.559 7.307
Sn 1.095 1.780 5.972
Sn 4.197 5.341 3.317
As 1.496 5.341 5.447
As 3.795 1.780 3.842
C 1.357 1.780 8.661
C 3.934 5.341 0.628
O 0.188 1.780 8.038
O 0.880 3.947 6.264
O 0.880 6.734 6.264
O 0.981 5.341 3.777
O 1.580 1.780 0.629
O 2.057 1.780 3.851
O 2.415 1.780 7.861
O 2.876 5.341 1.427
O 3.234 5.341 5.438
O 3.711 5.341 8.659
O 4.310 1.780 5.511
O 4.411 0.387 3.025
O 4.411 3.174 3.025
O 5.104 5.341 1.251
```

---

# 3
This entry pairs a crystal structure of NaSnAsCO7 with its simulated powder diffractogram. Radiation: Cu Kα. Structure: a structure optimized by DFT (GGA-PBE).

Largest 10 diffraction maxima, by angle, 2θ = 10–80°:
| d [Å] | Position (°2θ) | I_rel | h k l |
| --- | --- | --- | --- |
| 5.553 | 15.96 | 100 | 0 1 1 |
| 4.823 | 18.40 | 63 | 1 0 -1 |
| 4.618 | 19.22 | 72 | 1 0 1 |
| 3.672 | 24.24 | 94 | 1 0 -2 |
| 3.493 | 25.50 | 36 | 1 0 2 |
| 3.418 | 26.07 | 99 | 0 2 0 |
| 3.217 | 27.73 | 39 | 0 2 1 |
| 3.111 | 28.70 | 36 | 1 1 2 |
| 2.715 | 32.99 | 43 | 2 0 0 |
| 2.498 | 35.95 | 64 | 1 1 3 |

Crystal structure
```
22
Lattice="5.438 0.000 0.000 0.000 6.837 0.000 -0.480 0.000 9.519" Properties=species:S:1:pos:R:3 pbc="T T T"
Na 1.072 0.000 2.967
Na 3.886 3.418 6.551
Sn 0.751 1.633 7.998
Sn 4.207 5.051 1.521
As 1.055 5.095 8.877
As 3.903 1.676 0.642
C 1.242 1.766 5.500
C 3.716 5.184 4.018
O 0.004 1.740 6.024
O 0.751 5.172 0.890
O 0.565 3.747 7.949
O 0.699 6.413 7.855
O 1.499 1.712 4.298
O 2.196 1.567 0.307
O 2.186 1.831 6.470
O 2.772 5.249 3.048
O 2.762 4.986 9.211
O 3.459 5.130 5.220
O 4.259 2.995 1.663
O 4.393 0.328 1.569
O 4.207 1.754 8.629
O 4.954 5.159 3.495
```